[1]
For CsK2GaBi2, a crystal structure in Alexandria, relaxed with PBE gives the calculated XRD peak list in this record (λ = 1.5418 Å (Cu Kα)).
No peak broadening, texture or thermal motion is included.

Structural model:
Cell lengths 9.4516, 9.4516, 9.4516 Å; angles 117.57, 82.84, 131.44 degrees
Element x y z (fractional)
Cs 0.2500 0.2500 0.0000
Cs 0.7500 0.7500 0.0000
K 0.1771 0.6644 0.8414
K 0.3229 0.1644 0.4873
K 0.6771 0.8356 0.5127
K 0.8229 0.3356 0.1586
Ga 0.2500 0.7500 0.5000
Ga 0.7500 0.2500 0.5000
Bi 0.0920 0.3267 0.4187
Bi 0.4080 0.8267 0.2347
Bi 0.5920 0.1733 0.7653
Bi 0.9080 0.6733 0.5813

Most intense lines, 15 to 90 degrees two-theta, by intensity:
- 2θ = 19.22°, d 4.619, I 100
- 2θ = 28.65°, d 3.116, I 62
- 2θ = 29.16°, d 3.063, I 56
- 2θ = 29.34°, d 3.044, I 55
- 2θ = 28.04°, d 3.182, I 52
- 2θ = 34.24°, d 2.619, I 41

---

[2]
For LiSc3Hg4, a crystal structure in Alexandria, relaxed with PBE gives the calculated XRD peak list in this record (λ = 1.5418 Å (Cu Kα)).
No peak broadening, texture or thermal motion is included.

Structural model:
Cell lengths 7.6899, 7.6899, 7.6899 Å; angles 142.40, 142.40, 54.23 degrees
Element x y z (fractional)
Li 0.0000 0.0000 0.0000
Sc 0.2463 0.2463 0.0000
Sc 0.5000 0.5000 0.0000
Sc 0.7537 0.7537 0.0000
Hg 0.1215 0.6215 0.5000
Hg 0.3785 0.8785 0.5000
Hg 0.6215 0.1215 0.5000
Hg 0.8785 0.3785 0.5000

Most intense lines, 15 to 90 degrees two-theta, by intensity:
- 2θ = 36.70°, d 2.449, I 100
- 2θ = 25.41°, d 3.505, I 63
- 2θ = 36.25°, d 2.478, I 52
- 2θ = 65.50°, d 1.425, I 37
- 2θ = 26.04°, d 3.422, I 29
- 2θ = 45.17°, d 2.007, I 28

---

[3]
For Rb6As4W, a crystal structure in Alexandria, relaxed with PBE gives the calculated XRD peak list in this record (λ = 1.5418 Å (Cu Kα)).
No peak broadening, texture or thermal motion is included.

Structural model:
Cell lengths 10.6856, 10.6856, 8.5940 Å; angles 90.00, 90.00, 120.00 degrees
Element x y z (fractional)
Rb 0.0657 0.5328 0.0000
Rb 0.1457 0.2914 0.3188
Rb 0.1457 0.8543 0.3188
Rb 0.2914 0.1457 0.8188
Rb 0.4672 0.5328 0.0000
Rb 0.4672 0.9343 0.0000
Rb 0.5328 0.0657 0.5000
Rb 0.5328 0.4672 0.5000
Rb 0.7086 0.8543 0.3188
Rb 0.8543 0.1457 0.8188
Rb 0.8543 0.7086 0.8188
Rb 0.9343 0.4672 0.5000
As 0.2080 0.4160 0.6979
As 0.2080 0.7920 0.6979
As 0.3333 0.6667 0.3253
As 0.4160 0.2080 0.1979
As 0.5840 0.7920 0.6979
As 0.6667 0.3333 0.8253
As 0.7920 0.2080 0.1979
As 0.7920 0.5840 0.1979
W 0.3333 0.6667 0.6073
W 0.6667 0.3333 0.1073

Most intense lines, 15 to 90 degrees two-theta, by intensity:
- 2θ = 27.53°, d 3.240, I 100
- 2θ = 33.55°, d 2.671, I 67
- 2θ = 28.34°, d 3.149, I 62
- 2θ = 30.80°, d 2.903, I 43
- 2θ = 32.72°, d 2.737, I 40
- 2θ = 53.74°, d 1.706, I 32